# 1
The following is a computed powder X-ray diffraction pattern of Cu3HgF8. It was derived from the PBE geometry in Alexandria, using Cu Kα (λ = 1.5418 Å).

Largest 10 diffraction maxima, low angle first, 2θ = 15–90°:
hkl  2θ/deg  intensity
0 1 -1  16.70  57
1 0 0  17.40  100
1 0 1  30.06  24
1 -2 0  31.92  19
1 2 -2  33.27  17
-2 1 1  34.37  17
0 0 2  34.66  35
2 -2 0  41.40  20
2 2 -2  41.50  19
2 2 0  53.31  16

Structural model:
```
data_Cu3HgF8
_space_group_name_H-M_alt 'P -1'
_space_group_IT_number 2
_space_group_name_Hall '-P 1'
_cell_length_a 5.854
_cell_length_b 6.549
_cell_length_c 6.568
_cell_angle_alpha 115.23
_cell_angle_beta 116.30
_cell_angle_gamma 90.12
loop_
_atom_site_label
_atom_site_type_symbol
_atom_site_fract_x
_atom_site_fract_y
_atom_site_fract_z
Cu1 Cu 0.000 0.000 0.000
Cu2 Cu 0.000 0.000 0.500
Cu3 Cu 0.500 0.000 0.000
Hg1 Hg 0.000 0.500 0.500
F1 F 0.202 0.194 0.457
F2 F 0.239 0.791 0.978
F3 F 0.241 0.802 0.538
F4 F 0.248 0.191 0.994
```

# 2
The following is a computed powder X-ray diffraction pattern of Ba6Sr2Ca3. It was derived from the PBE geometry in Alexandria, using Cu Kα (λ = 1.5418 Å).

Largest 10 diffraction maxima, low angle first, 2θ = 15–90°:
hkl  2θ/deg  intensity
1 0 3  20.71  33
0 3 1  24.53  31
1 2 3  26.21  100
1 1 4  26.33  33
2 0 0  26.65  40
0 0 6  32.05  18
2 3 1  36.53  22
2 0 6  42.16  17
3 2 3  46.81  27
1 5 4  48.17  22

Structural model:
```
data_Ba6Sr2Ca3
_space_group_name_H-M_alt 'I m m m'
_space_group_IT_number 71
_space_group_name_Hall '-I 2 2'
_cell_length_a 6.689
_cell_length_b 11.153
_cell_length_c 16.767
_cell_angle_alpha 90.00
_cell_angle_beta 90.00
_cell_angle_gamma 90.00
loop_
_atom_site_label
_atom_site_type_symbol
_atom_site_fract_x
_atom_site_fract_y
_atom_site_fract_z
Ba1 Ba 0.000 0.188 0.000
Ba2 Ba 0.000 0.296 0.349
Sr1 Sr 0.000 0.500 0.135
Ca1 Ca 0.000 0.000 0.216
Ca2 Ca 0.000 0.000 0.500
```

# 3
The following is a computed powder X-ray diffraction pattern of ThSc3Hg4. It was derived from the PBE geometry in Alexandria, using Cu Kα (λ = 1.5418 Å).

Largest 10 diffraction maxima, low angle first, 2θ = 15–90°:
hkl  2θ/deg  intensity
2 1 0  21.29  8
2 0 1  24.99  18
2 1 1  27.75  12
2 2 1  34.85  100
4 0 0  35.63  50
4 0 2  51.28  18
4 4 0  61.98  16
6 2 1  63.50  35
4 4 2  73.59  10
8 0 2  86.34  8

Structural model:
```
data_ThSc3Hg4
_space_group_name_H-M_alt 'P m m a'
_space_group_IT_number 51
_space_group_name_Hall '-P 2a 2a'
_cell_length_a 10.079
_cell_length_b 7.446
_cell_length_c 5.039
_cell_angle_alpha 90.00
_cell_angle_beta 90.00
_cell_angle_gamma 90.00
loop_
_atom_site_label
_atom_site_type_symbol
_atom_site_fract_x
_atom_site_fract_y
_atom_site_fract_z
Th1 Th 0.000 0.000 0.000
Sc1 Sc 0.000 0.500 0.000
Sc2 Sc 0.250 0.000 0.499
Sc3 Sc 0.250 0.500 0.499
Hg1 Hg 0.000 0.274 0.500
Hg2 Hg 0.250 0.274 0.999
```

# 4
The following is a computed powder X-ray diffraction pattern of Li3Br. It was derived from the PBE geometry in Alexandria, using Cu Kα (λ = 1.5418 Å).

Largest 10 diffraction maxima, low angle first, 2θ = 15–90°:
hkl  2θ/deg  intensity
1 1 0  16.20  100
0 2 1  23.32  77
1 1 1  24.96  51
0 4 0  27.37  28
2 0 0  29.63  20
1 3 1  31.72  52
1 5 0  37.60  19
2 2 1  38.05  58
2 4 0  40.78  20
1 1 2  41.81  18

Structural model:
```
data_Li3Br
_space_group_name_H-M_alt 'C m c m'
_space_group_IT_number 63
_space_group_name_Hall '-C 2c 2'
_cell_length_a 6.029
_cell_length_b 13.032
_cell_length_c 4.704
_cell_angle_alpha 90.00
_cell_angle_beta 90.00
_cell_angle_gamma 90.00
loop_
_atom_site_label
_atom_site_type_symbol
_atom_site_fract_x
_atom_site_fract_y
_atom_site_fract_z
Li1 Li 0.000 0.146 0.250
Li2 Li 0.243 0.061 0.750
Br1 Br 0.000 0.387 0.750
```